Simulated XRD peak list of Li9Mn2Co5O16 for Cu Kα, from a crystal structure in the Materials Project, relaxed with GGA+U.
No peak broadening, texture or thermal motion is included.

Top 10 peaks for 2θ from 10° to 90°, sorted by position:
Position (°2θ)  I (rel.)
18.24  100
34.79  14
36.29  25
37.00  7
41.93  28
44.02  54
47.27  9
57.88  10
62.35  14
62.47  14

Structure:
```
Li9Mn2Co5O16
1.0
4.9150 -1.4391 0.0000
4.9150 1.4391 0.0000
-2.9831 0.0000 20.6319
Li Mn Co O
9 2 5 16
direct
0.0000 0.0000 0.0000
0.0123 0.0123 0.2570
0.4893 0.4893 0.3678
0.4913 0.4913 0.8642
0.4983 0.4983 0.6207
0.5004 0.5004 0.1308
0.7473 0.7473 0.3121
0.9913 0.9913 0.4983
0.9931 0.9931 0.7445
0.2489 0.2489 0.9341
0.7508 0.7508 0.0643
0.2359 0.2359 0.4271
0.2467 0.2467 0.6823
0.2597 0.2597 0.2006
0.7382 0.7382 0.8053
0.7538 0.7538 0.5596
0.1250 0.1250 0.3499
0.1259 0.1259 0.8392
0.1344 0.1344 0.5912
0.1346 0.1346 0.0857
0.3569 0.3569 0.7790
0.3642 0.3642 0.0362
0.3691 0.3691 0.5308
0.3720 0.3720 0.2755
0.6295 0.6295 0.7163
0.6319 0.6319 0.2143
0.6421 0.6421 0.4672
0.6444 0.6444 0.9712
0.8521 0.8521 0.1484
0.8549 0.8549 0.4095
0.8638 0.8638 0.9065
0.8652 0.8652 0.6532
```



Simulated XRD peak list of Ta2Zn2CrO8 for Cu Kα, from a crystal structure in the Materials Project, relaxed with GGA+U.
No peak broadening, texture or thermal motion is included.

Top 10 peaks for 2θ from 10° to 90°, sorted by position:
Position (°2θ)  I (rel.)
15.45  39
18.10  48
22.94  38
26.02  42
27.17  74
31.75  75
32.41  95
33.85  60
34.36  100
51.29  38

Structure:
```
Ta2Zn2CrO8
1.0
9.8058 -2.9996 0.0000
9.8058 2.9996 0.0000
-0.1429 0.0000 5.2962
Ta Zn Cr O
4 4 2 16
direct
0.0377 0.7281 0.7685
0.2719 0.9623 0.7315
0.7281 0.0377 0.2685
0.9623 0.2719 0.2315
0.1287 0.4343 0.2694
0.4343 0.1287 0.7694
0.5657 0.8713 0.2306
0.8713 0.5657 0.7306
0.3509 0.6491 0.2500
0.6491 0.3509 0.7500
0.0433 0.8111 0.4381
0.0762 0.2823 0.9329
0.1596 0.4523 0.6397
0.1889 0.9567 0.0619
0.2823 0.0762 0.4329
0.3052 0.5775 0.9187
0.4225 0.6948 0.5813
0.4523 0.1596 0.1397
0.5477 0.8404 0.8603
0.5775 0.3052 0.4187
0.6948 0.4225 0.0813
0.7177 0.9238 0.5671
0.8111 0.0433 0.9381
0.8404 0.5477 0.3603
0.9238 0.7177 0.0671
0.9567 0.1889 0.5619
```



Simulated XRD peak list of V3FeCo2P6O24 for Cu Kα, from a crystal structure in the Materials Project, relaxed with GGA+U.
No peak broadening, texture or thermal motion is included.

Top 10 peaks for 2θ from 10° to 90°, sorted by position:
Position (°2θ)  I (rel.)
20.59  80
24.34  100
25.35  18
31.98  16
33.27  67
36.06  36
47.69  31
49.87  25
56.43  22
63.07  18

Structure:
```
V3FeCo2P6O24
1.0
4.3139 2.4906 6.8949
-4.3139 2.4906 6.8949
0.0000 -4.9813 6.8949
V Fe Co P O
3 1 2 6 24
direct
0.0000 0.0000 0.0000
0.2142 0.2142 0.2142
0.7146 0.7146 0.7146
0.5012 0.5012 0.5012
0.3580 0.3580 0.3580
0.8571 0.8571 0.8571
0.1076 0.8145 0.3991
0.3129 0.6061 0.9011
0.3991 0.1076 0.8145
0.6061 0.9011 0.3129
0.8145 0.3991 0.1076
0.9011 0.3129 0.6061
0.0382 0.8594 0.2396
0.0997 0.2926 0.4430
0.1140 0.7692 0.9221
0.1742 0.9751 0.3551
0.2396 0.0382 0.8594
0.2682 0.6196 0.4076
0.2926 0.4430 0.0997
0.3452 0.5470 0.7427
0.3551 0.1742 0.9751
0.4076 0.2682 0.6196
0.4430 0.0997 0.2926
0.4713 0.6645 0.8672
0.5470 0.7427 0.3452
0.5944 0.9483 0.8047
0.6196 0.4076 0.2682
0.6645 0.8672 0.4713
0.7427 0.3452 0.5470
0.7692 0.9221 0.1140
0.8047 0.5944 0.9483
0.8594 0.2396 0.0382
0.8672 0.4713 0.6645
0.9221 0.1140 0.7692
0.9483 0.8047 0.5944
0.9751 0.3551 0.1742
```



Simulated XRD peak list of Li9Mn2Co5O16 for Cu Kα, from a crystal structure in the Materials Project, relaxed with GGA+U.
No peak broadening, texture or thermal motion is included.

Top 10 peaks for 2θ from 10° to 90°, sorted by position:
Position (°2θ)  I (rel.)
18.33  100
35.40  16
35.80  14
36.66  12
42.78  29
43.35  28
44.48  26
47.56  9
62.42  8
62.65  8

Structure:
```
Li9Mn2Co5O16
1.0
4.9929 0.0000 0.0000
-0.0575 5.9510 0.0000
-0.6140 -1.5716 9.6805
Li Mn Co O
9 2 5 16
direct
0.0000 0.0000 0.0000
0.0000 0.4910 0.9977
0.1256 0.1825 0.7545
0.2527 0.3680 0.5108
0.2536 0.8711 0.5111
0.4942 0.2432 0.0063
0.4937 0.7475 0.0041
0.7548 0.6154 0.5078
0.7571 0.1155 0.5060
0.6263 0.9318 0.7557
0.8753 0.3062 0.2544
0.1249 0.6864 0.7554
0.3718 0.0559 0.2604
0.3789 0.5570 0.2526
0.6242 0.4202 0.7560
0.8755 0.8054 0.2544
0.0684 0.5745 0.3669
0.0837 0.0750 0.3800
0.1751 0.7808 0.1401
0.1799 0.2757 0.1376
0.3076 0.4868 0.8609
0.3141 0.9399 0.8642
0.4336 0.6632 0.6445
0.4699 0.1353 0.6408
0.5719 0.3368 0.3719
0.5769 0.8318 0.3710
0.6652 0.5385 0.1316
0.6808 0.0366 0.1440
0.7833 0.1978 0.8712
0.8171 0.7226 0.8666
0.9383 0.8827 0.6477
0.9400 0.4310 0.6486
```